The following is a simulated powder diffractogram of CdAu15. It was derived from a DFT-relaxed cell (PBE, OQMD), using Cu Kα (λ = 1.5418 Å).
Intensities are scaled so that the largest is 1000.

Largest 12 diffraction maxima, by angle, 2θ = 10–80°:
| 2theta | I/Imax |
| --- | --- |
| 35.91 | 410 |
| 37.59 | 1000 |
| 37.91 | 620 |
| 42.14 | 285 |
| 43.75 | 224 |
| 43.89 | 492 |
| 62.37 | 168 |
| 63.38 | 111 |
| 63.71 | 259 |
| 74.40 | 155 |
| 76.28 | 289 |
| 76.92 | 102 |

Structure:
abc: 5.871 4.139 37.665
angles: 90.00 90.01 90.00
Atoms (fractional coordinates):
Cd: 0.125 0.250 0.296
Cd: 0.875 0.750 0.704
Au: 0.122 0.250 0.741
Au: 0.124 0.250 0.822
Au: 0.125 0.250 0.059
Au: 0.125 0.250 0.137
Au: 0.125 0.250 0.216
Au: 0.125 0.250 0.901
Au: 0.125 0.250 0.980
Au: 0.372 0.750 0.259
Au: 0.374 0.750 0.178
Au: 0.375 0.750 0.020
Au: 0.375 0.750 0.099
Au: 0.375 0.750 0.707
Au: 0.375 0.750 0.785
Au: 0.375 0.750 0.863
Au: 0.375 0.750 0.941
Au: 0.625 0.250 0.059
Au: 0.625 0.250 0.137
Au: 0.625 0.250 0.215
Au: 0.625 0.250 0.293
Au: 0.625 0.250 0.901
Au: 0.625 0.250 0.980
Au: 0.626 0.250 0.822
Au: 0.628 0.250 0.741
Au: 0.875 0.750 0.020
Au: 0.875 0.750 0.099
Au: 0.875 0.750 0.784
Au: 0.875 0.750 0.863
Au: 0.875 0.750 0.941
Au: 0.876 0.750 0.178
Au: 0.878 0.750 0.259

The following is a simulated powder diffractogram of LiIrAu3S4. It was derived from a DFT-relaxed cell (PBE, OQMD), using Cu Kα (λ = 1.5418 Å).
Intensities are scaled so that the largest is 1000.

Largest 12 diffraction maxima, by angle, 2θ = 10–80°:
| 2theta | I/Imax |
| --- | --- |
| 14.76 | 1000 |
| 25.71 | 427 |
| 29.77 | 516 |
| 33.38 | 469 |
| 42.60 | 752 |
| 45.33 | 287 |
| 50.42 | 206 |
| 52.84 | 153 |
| 55.17 | 161 |
| 63.95 | 151 |
| 70.11 | 206 |
| 77.98 | 250 |

Structure:
abc: 6.002 6.002 6.002
angles: 90.00 90.00 90.00
Atoms (fractional coordinates):
Li: 0.000 0.000 0.000
Ir: 0.500 0.500 0.500
Au: 0.000 0.500 0.500
Au: 0.500 0.000 0.500
Au: 0.500 0.500 0.000
S: 0.273 0.273 0.273
S: 0.273 0.727 0.727
S: 0.727 0.273 0.727
S: 0.727 0.727 0.273

The following is a simulated powder diffractogram of Nd4BI3Cl2. It was derived from a DFT-relaxed cell (PBE, OQMD), using Cu Kα (λ = 1.5418 Å).
Intensities are scaled so that the largest is 1000.

Largest 12 diffraction maxima, by angle, 2θ = 10–80°:
| 2theta | I/Imax |
| --- | --- |
| 10.19 | 590 |
| 23.23 | 159 |
| 24.69 | 168 |
| 28.62 | 444 |
| 29.59 | 1000 |
| 32.26 | 223 |
| 32.47 | 257 |
| 40.97 | 289 |
| 42.30 | 257 |
| 43.79 | 190 |
| 53.15 | 152 |
| 58.68 | 176 |

Structure:
abc: 9.749 9.749 8.843
angles: 100.59 100.59 24.49
Atoms (fractional coordinates):
Nd: 0.002 0.002 0.298
Nd: 0.360 0.360 0.427
Nd: 0.640 0.640 0.573
Nd: 0.998 0.998 0.702
B: 0.500 0.500 0.500
I: 0.175 0.175 0.317
I: 0.500 0.500 0.000
I: 0.825 0.825 0.683
Cl: 0.151 0.151 0.796
Cl: 0.849 0.849 0.204

The following is a simulated powder diffractogram of HoBiBr2O2. It was derived from a DFT-relaxed cell (PBE, OQMD), using Cu Kα (λ = 1.5418 Å).
Intensities are scaled so that the largest is 1000.

Largest 12 diffraction maxima, by angle, 2θ = 10–80°:
| 2theta | I/Imax |
| --- | --- |
| 10.46 | 423 |
| 25.35 | 144 |
| 31.37 | 1000 |
| 32.78 | 438 |
| 39.27 | 85 |
| 47.05 | 204 |
| 49.13 | 100 |
| 54.93 | 163 |
| 57.64 | 358 |
| 65.46 | 76 |
| 77.49 | 77 |
| 78.26 | 77 |

Structure:
abc: 3.863 3.863 8.455
angles: 90.00 90.00 90.00
Atoms (fractional coordinates):
Ho: 0.000 0.000 0.000
Bi: 0.500 0.500 0.715
Br: 0.000 0.000 0.521
Br: 0.500 0.500 0.188
O: 0.000 0.500 0.867
O: 0.500 0.000 0.867

The following is a simulated powder diffractogram of Cu3Ag4. It was derived from a DFT-relaxed cell (PBE, OQMD), using Cu Kα (λ = 1.5418 Å).
Intensities are scaled so that the largest is 1000.

Largest 12 diffraction maxima, by angle, 2θ = 10–80°:
| 2theta | I/Imax |
| --- | --- |
| 32.61 | 92 |
| 38.60 | 57 |
| 39.34 | 947 |
| 39.86 | 1000 |
| 44.56 | 673 |
| 48.93 | 269 |
| 64.11 | 77 |
| 65.57 | 105 |
| 68.32 | 349 |
| 69.28 | 53 |
| 78.21 | 170 |
| 79.23 | 220 |

Structure:
abc: 10.435 10.435 10.435
angles: 164.32 159.45 25.96
Atoms (fractional coordinates):
Cu: 0.000 0.000 0.000
Cu: 0.138 0.138 0.000
Cu: 0.699 0.699 0.000
Ag: 0.268 0.268 0.000
Ag: 0.430 0.430 0.000
Ag: 0.569 0.569 0.000
Ag: 0.849 0.849 0.000

The following is a simulated powder diffractogram of Pm2Pr2O5. It was derived from a DFT-relaxed cell (PBE, OQMD), using Cu Kα (λ = 1.5418 Å).
Intensities are scaled so that the largest is 1000.

Largest 12 diffraction maxima, by angle, 2θ = 10–80°:
| 2theta | I/Imax |
| --- | --- |
| 27.86 | 666 |
| 31.36 | 1000 |
| 39.81 | 403 |
| 41.96 | 65 |
| 49.66 | 68 |
| 51.53 | 502 |
| 57.56 | 132 |
| 57.90 | 117 |
| 65.13 | 127 |
| 65.45 | 114 |
| 67.02 | 140 |
| 79.41 | 65 |

Structure:
abc: 4.529 4.529 7.343
angles: 90.00 90.00 90.00
Atoms (fractional coordinates):
Pm: 0.000 0.000 0.214
Pm: 0.000 0.000 0.786
Pr: 0.500 0.500 0.000
Pr: 0.500 0.500 0.500
O: 0.000 0.000 0.500
O: 0.000 0.500 0.225
O: 0.000 0.500 0.775
O: 0.500 0.000 0.225
O: 0.500 0.000 0.775